This entry pairs a crystal structure of Sr3Y3ScSe8 with its computed X-ray diffraction stick pattern. Radiation: λ = 1.5418 Å (Cu Kα). Structure: the PBE geometry in Alexandria.

Top 10 peaks for 10 to 90 degrees two-theta, in order of rising 2θ:
| index | 2θ/deg | I (rel.) |
| --- | --- | --- |
| 0 1 2 | 14.9 | 6 |
| 0 2 4 | 30.0 | 100 |
| 2 0 8 | 42.1 | 36 |
| 2 2 0 | 43.8 | 35 |
| 0 0 12 | 51.2 | 6 |
| 4 0 4 | 54.0 | 18 |
| 0 4 8 | 62.4 | 11 |
| 2 2 12 | 69.6 | 14 |
| 2 4 4 | 72.0 | 15 |
| 4 2 8 | 79.3 | 11 |

Structural model:
Cell lengths 8.2706, 8.2706, 21.4225 Å; angles 90.00, 90.00, 120.00 degrees
Space group R-3m (No. 166, hexagonal axes)
One atom of each set of equivalent atoms:
Sr: 0.0000 0.5000 0.0000 [9 per cell]
Y: 0.0000 0.5000 0.5000 [9 per cell]
Sc: 0.0000 0.0000 0.5000 [3 per cell]
Se: 0.0000 0.0000 0.2439 [6 per cell]
Se: 0.0096 0.5048 0.2404 [18 per cell]